# Rb2LiMoH6
Simulated X-ray powder pattern, CuKα. Input: a crystal structure in OQMD, relaxed with GGA-PBE.
Kinematic intensities with the Lorentz-polarization factor, no thermal factor.

Crystal structure
```
Rb2LiMoH6
1.0
7.5005 0.0000 0.0000
0.0000 4.8521 0.0000
-1.0300 0.0000 7.6334
Rb Li Mo H
4 2 2 12
direct
0.0545 0.0000 0.2983
0.2834 0.4830 0.0585
0.7166 0.9830 0.9415
0.9455 0.5000 0.7017
0.2924 0.9751 0.7150
0.7076 0.4751 0.2850
0.4336 0.5300 0.5592
0.5664 0.0300 0.4408
0.1257 0.9912 0.8882
0.2237 0.6997 0.5566
0.2693 0.3249 0.6475
0.3663 0.2625 0.3892
0.3896 0.7620 0.3663
0.4355 0.6327 0.7823
0.5645 0.1327 0.2177
0.6104 0.2620 0.6337
0.6337 0.7625 0.6108
0.7307 0.8249 0.3525
0.7763 0.1997 0.4434
0.8743 0.4912 0.1118
```

Main lines, sorted by position (2θ = 10–90°):
2θ (°), I_rel, h k l
15.49, 44, 1 0 -1
21.70, 41, 0 1 1
21.88, 47, 1 1 0
24.05, 50, 1 1 -1
27.66, 73, 1 0 2
28.07, 75, 2 0 1
29.78, 80, 0 1 2
30.29, 67, 2 1 0
30.95, 49, 1 1 -2
31.30, 100, 2 1 -1
37.06, 52, 0 2 0
51.45, 53, 3 1 -3